No. 1
The following is a calculated XRD peak list of LiZrIn. It was derived from a structure optimized by DFT (PBE), using Cu Kα X-rays.
Kinematic intensities with the Lorentz-polarization factor, no thermal factor.

Cell and atoms:
```
data_LiZrIn
_chemical_formula_sum 'Li4 Zr4 In4'
_symmetry_space_group_name_H-M 'C m m m'
_symmetry_Int_Tables_number 65
_symmetry_space_group_name_Hall '-C 2 2'
_cell_length_a 4.130
_cell_length_b 13.983
_cell_length_c 4.412
_cell_angle_alpha 90.00
_cell_angle_beta 90.00
_cell_angle_gamma 90.00
loop_
_atom_site_label
_atom_site_type_symbol
_atom_site_fract_x
_atom_site_fract_y
_atom_site_fract_z
Li1 Li 0.000 0.000 0.000
Li2 Li 0.000 0.500 0.500
Zr1 Zr 0.000 0.169 0.500
In1 In 0.000 0.342 0.000
```

Top 6 peaks for 10 to 80 degrees two-theta, in order of falling intensity:
2theta  I_rel
35.5  100.0
12.7  54.3
30.3  36.4
75.1  20.6
38.6  18.6
25.5  17.5



No. 2
The following is a calculated XRD peak list of LuIn. It was derived from a structure optimized by DFT (PBE), using Cu Kα X-rays.
Kinematic intensities with the Lorentz-polarization factor, no thermal factor.

Cell and atoms:
```
data_LuIn
_chemical_formula_sum 'Lu1 In1'
_symmetry_space_group_name_H-M 'P 4/m m m'
_symmetry_Int_Tables_number 123
_symmetry_space_group_name_Hall '-P 4 2'
_cell_length_a 3.396
_cell_length_b 3.396
_cell_length_c 4.366
_cell_angle_alpha 90.00
_cell_angle_beta 90.00
_cell_angle_gamma 90.00
loop_
_atom_site_label
_atom_site_type_symbol
_atom_site_fract_x
_atom_site_fract_y
_atom_site_fract_z
Lu1 Lu 0.000 0.000 0.000
In1 In 0.500 0.500 0.500
```

Top 6 peaks for 10 to 80 degrees two-theta, in order of falling intensity:
2theta  I_rel
33.4  100.0
37.5  36.7
65.0  28.8
57.0  21.5
41.4  13.9
54.0  12.7



No. 3
The following is a calculated XRD peak list of TbLuInNi. It was derived from a structure optimized by DFT (PBE), using Cu Kα X-rays.
Kinematic intensities with the Lorentz-polarization factor, no thermal factor.

Cell and atoms:
```
data_TbLuInNi
_chemical_formula_sum 'Tb4 Lu4 In4 Ni4'
_symmetry_space_group_name_H-M 'F -4 3 m'
_symmetry_Int_Tables_number 216
_symmetry_space_group_name_Hall 'F -4 2 3'
_cell_length_a 7.142
_cell_length_b 7.142
_cell_length_c 7.142
_cell_angle_alpha 90.00
_cell_angle_beta 90.00
_cell_angle_gamma 90.00
loop_
_atom_site_label
_atom_site_type_symbol
_atom_site_fract_x
_atom_site_fract_y
_atom_site_fract_z
Tb1 Tb 0.000 0.000 0.000
Lu1 Lu 0.000 0.000 0.500
In1 In 0.250 0.250 0.250
Ni1 Ni 0.250 0.250 0.750
```

Top 6 peaks for 10 to 80 degrees two-theta, in order of falling intensity:
2theta  I_rel
35.6  100.0
63.9  35.7
51.2  17.6
75.3  11.0
24.9  10.2
57.7  4.5



No. 4
The following is a calculated XRD peak list of PmLuInPd. It was derived from a structure optimized by DFT (PBE), using Cu Kα X-rays.
Kinematic intensities with the Lorentz-polarization factor, no thermal factor.

Cell and atoms:
```
data_PmLuInPd
_chemical_formula_sum 'Pm4 Lu4 In4 Pd4'
_symmetry_space_group_name_H-M 'F -4 3 m'
_symmetry_Int_Tables_number 216
_symmetry_space_group_name_Hall 'F -4 2 3'
_cell_length_a 7.322
_cell_length_b 7.322
_cell_length_c 7.322
_cell_angle_alpha 90.00
_cell_angle_beta 90.00
_cell_angle_gamma 90.00
loop_
_atom_site_label
_atom_site_type_symbol
_atom_site_fract_x
_atom_site_fract_y
_atom_site_fract_z
Pm1 Pm 0.000 0.000 0.000
Lu1 Lu 0.000 0.000 0.500
In1 In 0.250 0.250 0.250
Pd1 Pd 0.250 0.250 0.750
```

Top 6 peaks for 10 to 80 degrees two-theta, in order of falling intensity:
2theta  I_rel
34.7  100.0
62.1  36.5
49.8  17.8
73.1  11.2
24.3  3.6
56.2  1.7



No. 5
The following is a calculated XRD peak list of TbLuPuIn. It was derived from a structure optimized by DFT (PBE), using Cu Kα X-rays.
Kinematic intensities with the Lorentz-polarization factor, no thermal factor.

Cell and atoms:
```
data_TbLuPuIn
_chemical_formula_sum 'Tb4 Lu4 Pu4 In4'
_symmetry_space_group_name_H-M 'F -4 3 m'
_symmetry_Int_Tables_number 216
_symmetry_space_group_name_Hall 'F -4 2 3'
_cell_length_a 7.629
_cell_length_b 7.629
_cell_length_c 7.629
_cell_angle_alpha 90.00
_cell_angle_beta 90.00
_cell_angle_gamma 90.00
loop_
_atom_site_label
_atom_site_type_symbol
_atom_site_fract_x
_atom_site_fract_y
_atom_site_fract_z
Tb1 Tb 0.000 0.000 0.000
Lu1 Lu 0.250 0.250 0.750
Pu1 Pu 0.000 0.000 0.500
In1 In 0.250 0.250 0.250
```

Top 6 peaks for 10 to 80 degrees two-theta, in order of falling intensity:
2theta  I_rel
33.2  100.0
59.3  38.3
47.7  18.4
79.5  16.7
69.7  11.9
20.2  4.2



No. 6
The following is a calculated XRD peak list of Lu3InS6. It was derived from a structure optimized by DFT (PBE), using Cu Kα X-rays.
Kinematic intensities with the Lorentz-polarization factor, no thermal factor.

Cell and atoms:
```
data_Lu3InS6
_chemical_formula_sum 'Lu12 In4 S24'
_symmetry_space_group_name_H-M 'P n n m'
_symmetry_Int_Tables_number 58
_cell_length_a 13.298
_cell_length_b 16.364
_cell_length_c 3.782
_cell_angle_alpha 90.00
_cell_angle_beta 90.00
_cell_angle_gamma 90.00
loop_
_symmetry_equiv_pos_as_xyz
'x,y,z'
'-x,-y,-z'
'-x,-y,z'
'x,y,-z'
'x+1/2,-y+1/2,-z+1/2'
'-x+1/2,y+1/2,z+1/2'
'-x+1/2,y+1/2,-z+1/2'
'x+1/2,-y+1/2,z+1/2'
loop_
_atom_site_label
_atom_site_type_symbol
_atom_site_fract_x
_atom_site_fract_y
_atom_site_fract_z
Lu1 Lu 0.037 0.226 0.000
Lu2 Lu 0.190 0.645 0.000
Lu3 Lu 0.250 0.391 0.000
In1 In 0.000 0.000 0.500
In2 In 0.000 0.500 0.500
S1 S 0.020 0.393 0.000
S2 S 0.098 0.909 0.000
S3 S 0.111 0.121 0.500
S4 S 0.115 0.745 0.500
S5 S 0.182 0.287 0.500
S6 S 0.196 0.521 0.500
```

Top 6 peaks for 10 to 80 degrees two-theta, in order of falling intensity:
2theta  I_rel
25.6  100.0
26.8  84.7
35.3  42.8
36.3  42.2
31.8  40.5
45.7  32.9